Record 1
Calculated X-ray diffraction stick pattern
Compound: CeAgPd3
Radiation: Cu Kα, 1.54184 Å
Structure: a crystal structure in Alexandria, relaxed with GGA-PBE
No peak broadening, texture or thermal motion is included.

Crystal structure
```
CeAgPd3
1.0
2.7528 1.5893 4.5611
-2.7528 1.5893 4.5611
0.0000 -3.1786 4.5611
Ce Ag Pd
1 1 3
Direct
0.0000 0.0000 0.0000
0.5000 0.5000 0.5000
0.0000 0.0000 0.5000
0.0000 0.5000 0.0000
0.5000 0.0000 0.0000
```

Main lines, sorted by position (2θ from 10° to 80°):
2θ (°)  I/Imax
19.5  59
19.7  34
22.7  27
32.2  11
38.2  13
38.3  30
39.5  35
40.1  100
46.4  65
50.8  13
67.4  21
68.1  20

Record 2
Calculated X-ray diffraction stick pattern
Compound: Nd4AsRh2
Radiation: Cu Kα, 1.54184 Å
Structure: a crystal structure in Alexandria, relaxed with GGA-PBE
No peak broadening, texture or thermal motion is included.

Crystal structure
```
Nd4AsRh2
1.0
7.8011 0.0000 0.0000
-2.5337 7.3864 0.0000
-2.5337 -3.7590 6.3593
Nd As Rh
8 2 4
Direct
0.0000 0.0000 0.0000
0.0087 0.0076 0.5058
0.1282 0.6056 0.7320
0.3803 0.4877 0.1065
0.5011 0.3787 0.6242
0.5098 0.8835 0.6288
0.6272 0.1107 0.2277
0.8814 0.4853 0.1120
0.2552 0.8700 0.2426
0.7551 0.6202 0.4919
0.1122 0.3518 0.3655
0.3972 0.1382 0.8669
0.6121 0.7440 0.9749
0.8971 0.2457 0.7613
```

Main lines, sorted by position (2θ from 10° to 80°):
2θ (°)  I/Imax
27.8  13
28.1  14
31.2  100
31.7  49
37.1  34
37.3  20
37.5  22
47.4  14
49.4  11
51.4  14
51.7  17
52.0  19

Record 3
Calculated X-ray diffraction stick pattern
Compound: KMnRhSe3
Radiation: Cu Kα, 1.54184 Å
Structure: a crystal structure in Alexandria, relaxed with GGA-PBE
No peak broadening, texture or thermal motion is included.

Crystal structure
```
KMnRhSe3
1.0
8.1155 0.0000 0.0000
0.0000 3.8163 0.0000
-3.7781 0.0000 9.2617
K Mn Rh Se
2 2 2 6
Direct
0.0027 0.2500 0.2693
0.9973 0.7500 0.7307
0.4926 0.7500 0.3475
0.5074 0.2500 0.6525
0.4348 0.2500 0.1276
0.5652 0.7500 0.8724
0.2301 0.7500 0.1229
0.3185 0.7500 0.5155
0.3571 0.2500 0.8530
0.6429 0.7500 0.1470
0.6815 0.2500 0.4845
0.7699 0.2500 0.8771
```

Main lines, sorted by position (2θ from 10° to 80°):
2θ (°)  I/Imax
11.8  100
28.9  16
29.5  11
32.2  44
35.3  18
36.0  14
43.2  12
43.4  24
44.3  11
47.7  17
48.5  10
49.2  10

Record 4
Calculated X-ray diffraction stick pattern
Compound: RbPa4SnN8
Radiation: Cu Kα, 1.54184 Å
Structure: a crystal structure in Alexandria, relaxed with GGA-PBE
No peak broadening, texture or thermal motion is included.

Crystal structure
```
RbPa4SnN8
1.0
3.6217 2.0910 5.5190
-3.6217 2.0910 5.5190
0.0000 -4.1820 5.5190
Rb Pa Sn N
1 4 1 8
Direct
0.0000 0.0000 0.0000
0.1042 0.6192 0.6192
0.2321 0.2321 0.2321
0.6192 0.1042 0.6192
0.6192 0.6192 0.1042
0.6236 0.6236 0.6236
0.3430 0.3430 0.8592
0.3430 0.8592 0.3430
0.3731 0.3731 0.3731
0.4463 0.8423 0.8423
0.8396 0.8396 0.8396
0.8423 0.4463 0.8423
0.8423 0.8423 0.4463
0.8592 0.3430 0.3430
```

Main lines, sorted by position (2θ from 10° to 80°):
2θ (°)  I/Imax
16.1  28
25.8  29
29.0  75
29.5  67
30.5  100
35.9  24
46.4  21
47.1  28
48.2  18
50.4  38
53.0  31
60.1  22

Record 5
Calculated X-ray diffraction stick pattern
Compound: Tb3Np
Radiation: Cu Kα, 1.54184 Å
Structure: a crystal structure in Alexandria, relaxed with GGA-PBE
No peak broadening, texture or thermal motion is included.

Crystal structure
```
Tb3Np
1.0
7.0778 0.0000 0.0000
-3.5389 6.1296 0.0000
0.0000 0.0000 5.6478
Tb Np
6 2
Direct
0.1690 0.3380 0.2500
0.1690 0.8310 0.2500
0.3380 0.1690 0.7500
0.6620 0.8310 0.2500
0.8310 0.1690 0.7500
0.8310 0.6620 0.7500
0.3333 0.6667 0.7500
0.6667 0.3333 0.2500
```

Main lines, sorted by position (2θ from 10° to 80°):
2θ (°)  I/Imax
29.1  23
31.7  25
33.3  100
43.6  16
51.7  19
57.4  21
60.4  3
61.9  23
62.8  16
66.2  3
69.8  4
73.9  3

Record 6
Calculated X-ray diffraction stick pattern
Compound: Cs2CdHg16
Radiation: Cu Kα, 1.54184 Å
Structure: a crystal structure in Alexandria, relaxed with GGA-PBE
No peak broadening, texture or thermal motion is included.

Crystal structure
```
Cs2CdHg16
1.0
5.5372 3.1969 5.6139
-5.5372 3.1969 5.6139
0.0000 -6.3938 5.6139
Cs Cd Hg
2 1 16
Direct
0.0000 0.0000 0.0000
0.3216 0.3216 0.3216
0.7335 0.7335 0.7335
0.0209 0.0209 0.4745
0.0209 0.4745 0.0209
0.1107 0.6787 0.6787
0.3155 0.3155 0.7849
0.3155 0.7849 0.3155
0.3587 0.6542 0.9488
0.3587 0.9488 0.6542
0.4745 0.0209 0.0209
0.5483 0.5483 0.5483
0.6542 0.3587 0.9488
0.6542 0.9488 0.3587
0.6787 0.1107 0.6787
0.6787 0.6787 0.1107
0.7849 0.3155 0.3155
0.9488 0.3587 0.6542
0.9488 0.6542 0.3587
```

Main lines, sorted by position (2θ from 10° to 80°):
2θ (°)  I/Imax
16.0  18
27.9  25
28.2  21
31.9  35
32.2  100
32.3  35
32.5  19
35.9  22
36.2  66
57.0  20
57.7  16
69.8  13

Record 7
Calculated X-ray diffraction stick pattern
Compound: BaTlOs2O8
Radiation: Cu Kα, 1.54184 Å
Structure: a crystal structure in Alexandria, relaxed with GGA-PBE
No peak broadening, texture or thermal motion is included.

Crystal structure
```
BaTlOs2O8
1.0
6.1505 0.0000 0.0000
-3.0753 5.3265 0.0000
0.0000 0.0000 8.5125
Ba Tl Os O
1 1 2 8
Direct
0.0000 0.0000 0.0000
0.0000 0.0000 0.5000
0.3333 0.6667 0.8140
0.6667 0.3333 0.1860
0.1712 0.8269 0.7543
0.1731 0.3443 0.7543
0.3333 0.6667 0.0240
0.3443 0.1712 0.2457
0.6557 0.8288 0.7543
0.6667 0.3333 0.9760
0.8269 0.6557 0.2457
0.8288 0.1731 0.2457
```

Main lines, sorted by position (2θ from 10° to 80°):
2θ (°)  I/Imax
19.7  100
26.8  85
29.0  73
39.9  37
43.4  15
45.9  20
46.3  21
50.1  31
51.5  15
60.2  13
63.6  15
67.1  14

Record 8
Calculated X-ray diffraction stick pattern
Compound: UVSi2Ir
Radiation: Cu Kα, 1.54184 Å
Structure: a crystal structure in Alexandria, relaxed with GGA-PBE
No peak broadening, texture or thermal motion is included.

Crystal structure
```
UVSi2Ir
1.0
-2.0370 2.0370 5.0290
2.0370 -2.0370 5.0290
2.0370 2.0370 -5.0290
U V Si Ir
1 1 2 1
Direct
0.0000 0.0000 0.0000
0.7500 0.2500 0.5000
0.3834 0.3834 0.0000
0.6166 0.6166 0.0000
0.2500 0.7500 0.5000
```

Main lines, sorted by position (2θ from 10° to 80°):
2θ (°)  I/Imax
23.6  67
34.7  43
35.7  19
35.9  100
44.5  34
50.6  17
50.9  19
57.6  21
58.3  19
64.3  17
69.6  13
76.3  23

Record 9
Calculated X-ray diffraction stick pattern
Compound: Np2Cu4O9
Radiation: Cu Kα, 1.54184 Å
Structure: a crystal structure in Alexandria, relaxed with GGA-PBE
No peak broadening, texture or thermal motion is included.

Crystal structure
```
Np2Cu4O9
1.0
2.8547 -4.3485 0.0000
2.8547 4.3485 0.0000
-0.0018 0.0000 15.5317
Np Cu O
4 8 18
Direct
0.0731 0.0731 0.1424
0.0734 0.0734 0.3575
0.9266 0.9266 0.6425
0.9269 0.9269 0.8576
0.3214 0.6028 0.7500
0.3290 0.6710 0.0000
0.3291 0.6709 0.5000
0.3972 0.6786 0.2500
0.6028 0.3214 0.7500
0.6710 0.3290 0.0000
0.6709 0.3291 0.5000
0.6786 0.3972 0.2500
0.0466 0.3615 0.2499
0.0907 0.7467 0.0830
0.0912 0.7475 0.4171
0.2014 0.2014 0.7500
0.2525 0.9088 0.5829
0.2533 0.9093 0.9170
0.3615 0.0466 0.2499
0.3819 0.3819 0.0717
0.3823 0.3823 0.4282
0.6177 0.6177 0.5718
0.6181 0.6181 0.9283
0.6385 0.9534 0.7501
0.7467 0.0907 0.0830
0.7475 0.0912 0.4171
0.7986 0.7986 0.2500
0.9088 0.2525 0.5829
0.9093 0.2533 0.9170
0.9534 0.6385 0.7501
```

Main lines, sorted by position (2θ from 10° to 80°):
2θ (°)  I/Imax
18.6  41
19.5  20
20.4  28
29.7  100
30.9  42
31.3  23
31.9  15
34.7  42
44.6  15
48.0  18
48.1  15
59.5  18

Record 10
Calculated X-ray diffraction stick pattern
Compound: PaSI3
Radiation: Cu Kα, 1.54184 Å
Structure: a crystal structure in Alexandria, relaxed with GGA-PBE
No peak broadening, texture or thermal motion is included.

Crystal structure
```
PaSI3
1.0
9.3163 0.0000 0.0000
0.0000 12.4063 0.0000
-2.2298 0.0000 13.1286
Pa S I
4 4 12
Direct
0.0811 0.1345 0.1229
0.0811 0.8655 0.6229
0.9189 0.1345 0.3771
0.9189 0.8655 0.8771
0.1667 0.1264 0.3158
0.1667 0.8736 0.8158
0.8333 0.1264 0.1842
0.8333 0.8736 0.6842
0.0688 0.1181 0.6046
0.0688 0.8819 0.1046
0.0723 0.3660 0.0985
0.0723 0.6340 0.5985
0.3750 0.1212 0.0773
0.3750 0.8788 0.5773
0.6250 0.1212 0.4227
0.6250 0.8788 0.9227
0.9277 0.3660 0.4015
0.9277 0.6340 0.9015
0.9312 0.1181 0.8954
0.9312 0.8819 0.3954
```

Main lines, sorted by position (2θ from 10° to 80°):
2θ (°)  I/Imax
14.5  86
15.2  78
17.9  56
19.3  69
21.5  74
21.7  44
27.2  60
28.8  87
30.1  78
30.4  100
40.0  58
42.1  59